[1]
Starting from the PBE geometry in the Materials Project, the X-ray diffraction stick pattern of MgZnCo4S8 was simulated for Cu Ka.
Kinematic intensities with the Lorentz-polarization factor, no thermal factor.

Cell and atoms:
```
data_MgZnCo4S8
_chemical_formula_sum 'Mg2 Zn2 Co8 S16'
_cell_length_a 11.7139
_cell_length_b 6.7631
_cell_length_c 7.2326
_cell_angle_alpha 90.00
_cell_angle_beta 122.52
_cell_angle_gamma 90.00
_space_group_name_H-M_alt 'C 1 m 1'
_space_group_IT_number 8
_space_group_name_Hall 'C -2y'
loop_
_atom_site_label
_atom_site_type_symbol
_atom_site_fract_x
_atom_site_fract_y
_atom_site_fract_z
_atom_site_occupancy
Mg1 Mg 0.0000 0.0000 0.0000 1
Zn1 Zn 0.1412 0.5000 0.9269 1
Co1 Co 0.1369 0.5000 0.4272 1
Co2 Co 0.1508 0.0000 0.4561 1
Co3 Co 0.3931 0.2439 0.4268 1
S1 S 0.1183 0.2612 0.6209 1
S2 S 0.1616 0.2582 0.2295 1
S3 S 0.3695 0.5000 0.6126 1
S4 S 0.3796 0.0000 0.6208 1
S5 S 0.4034 0.5000 0.2287 1
S6 S 0.4116 0.0000 0.2381 1
```

Most intense lines, 2θ from 10° to 80°, in order of falling intensity:
h k l	2theta	intensity
2 2 -2	36.43	100
0 0 1	14.52	78
0 4 0	54.25	38
4 0 1	46.57	27
2 2 2	50.61	20
2 2 -1	30.92	15
8 0 -4	67.12	14
2 0 -1	15.89	13
6 2 -1	56.48	10
2 0 0	17.98	10
4 0 -4	50.71	10
0 2 1	30.22	10

[2]
Starting from the PBE geometry in the Materials Project, the X-ray diffraction stick pattern of CrPd was simulated for Cu Ka.
Kinematic intensities with the Lorentz-polarization factor, no thermal factor.

Cell and atoms:
```
data_CrPd
_chemical_formula_sum 'Cr3 Pd3'
_cell_length_a 2.6783
_cell_length_b 2.6783
_cell_length_c 13.1473
_cell_angle_alpha 90.00
_cell_angle_beta 90.00
_cell_angle_gamma 120.00
_space_group_name_H-M_alt 'R -3 m'
_space_group_IT_number 166
_space_group_name_Hall '-R 3 2"'
loop_
_atom_site_label
_atom_site_type_symbol
_atom_site_fract_x
_atom_site_fract_y
_atom_site_fract_z
_atom_site_occupancy
Cr1 Cr 0.0000 0.0000 0.0000 1
Pd1 Pd 0.0000 0.0000 0.5000 1
```

Most intense lines, 2θ from 10° to 80°, in order of falling intensity:
h k l	2theta	intensity
0 1 2	41.25	100
1 0 4	48.01	47
0 0 3	20.26	18
0 1 8	70.19	14
1 1 0	70.29	14
1 0 1	39.45	10
0 1 5	52.62	5
1 0 7	63.75	4
1 1 3	74.02	3

[3]
Starting from the PBE geometry in the Materials Project, the X-ray diffraction stick pattern of ZrTi3As2 was simulated for Cu Ka.
Kinematic intensities with the Lorentz-polarization factor, no thermal factor.

Cell and atoms:
```
data_ZrTi3As2
_chemical_formula_sum 'Zr2 Ti6 As4'
_cell_length_a 3.7405
_cell_length_b 3.7405
_cell_length_c 14.6203
_cell_angle_alpha 90.00
_cell_angle_beta 90.00
_cell_angle_gamma 90.00
_space_group_name_H-M_alt 'I 4 m m'
_space_group_IT_number 107
_space_group_name_Hall 'I 4 -2'
loop_
_atom_site_label
_atom_site_type_symbol
_atom_site_fract_x
_atom_site_fract_y
_atom_site_fract_z
_atom_site_occupancy
Zr1 Zr 0.0000 0.0000 0.0000 1
Ti1 Ti 0.0000 0.0000 0.6420 1
Ti2 Ti 0.0000 0.5000 0.3169 1
As1 As 0.0000 0.0000 0.1864 1
As2 As 0.0000 0.0000 0.4512 1
```

Most intense lines, 2θ from 10° to 80°, in order of falling intensity:
h k l	2theta	intensity
1 1 4	42.17	100
1 1 2	36.11	83
2 0 0	48.69	64
1 0 5	39.10	62
1 1 0	33.89	49
0 0 6	36.89	33
2 1 5	64.14	27
2 0 6	62.61	25
1 0 1	24.57	20
2 2 0	71.32	19
1 0 7	50.02	19
1 0 11	75.98	18

[4]
Starting from the PBE geometry in the Materials Project, the X-ray diffraction stick pattern of Bi13Pt3I7 was simulated for Cu Ka.
Kinematic intensities with the Lorentz-polarization factor, no thermal factor.

Cell and atoms:
```
data_Bi13Pt3I7
_chemical_formula_sum 'Bi26 Pt6 I14'
_cell_length_a 9.3326
_cell_length_b 9.3416
_cell_length_c 21.7901
_cell_angle_alpha 90.70
_cell_angle_beta 95.43
_cell_angle_gamma 119.97
_space_group_name_H-M_alt 'P -1'
_space_group_IT_number 2
_space_group_name_Hall '-P 1'
loop_
_atom_site_label
_atom_site_type_symbol
_atom_site_fract_x
_atom_site_fract_y
_atom_site_fract_z
_atom_site_occupancy
Bi1 Bi 0.0117 0.4578 0.1277 1
Bi2 Bi 0.0136 0.8014 0.1245 1
Bi3 Bi 0.0609 0.8289 0.2800 1
Bi4 Bi 0.0644 0.4897 0.2842 1
Bi5 Bi 0.2342 0.2402 0.1240 1
Bi6 Bi 0.2393 0.7638 0.5037 1
Bi7 Bi 0.2806 0.2687 0.2820 1
Bi8 Bi 0.3506 0.8000 0.1248 1
Bi9 Bi 0.3783 0.7338 0.7201 1
Bi10 Bi 0.3807 0.3930 0.7162 1
Bi11 Bi 0.4040 0.8297 0.2816 1
Bi12 Bi 0.4255 0.4155 0.8720 1
Bi13 Bi 0.4297 0.7600 0.8765 1
Pt1 Pt 0.1830 0.4655 0.7953 1
Pt2 Pt 0.3173 0.0353 0.2036 1
Pt3 Pt 0.3170 0.5343 0.2052 1
I1 I 0.1066 0.4259 0.5748 1
I2 I 0.1150 0.9177 0.5878 1
I3 I 0.1805 0.9661 0.7888 1
I4 I 0.2466 0.9963 0.9903 1
I5 I 0.2498 0.4987 0.9993 1
I6 I 0.3747 0.5882 0.4190 1
I7 I 0.3904 0.0727 0.4250 1
```

Most intense lines, 2θ from 10° to 80°, in order of falling intensity:
h k l	2theta	intensity
2 0 4	29.20	100
-2 2 5	29.52	40
0 0 3	12.25	37
0 2 5	31.34	36
2 2 -1	38.56	34
-1 3 1	29.68	31
0 0 7	28.88	30
1 2 0	29.36	29
4 0 -1	44.82	29
-1 1 1	11.50	28
-4 4 1	44.91	28
0 1 0	10.96	26

[5]
Starting from the PBE geometry in the Materials Project, the X-ray diffraction stick pattern of BaSrI4 was simulated for Cu Ka.
Kinematic intensities with the Lorentz-polarization factor, no thermal factor.

Cell and atoms:
```
data_BaSrI4
_chemical_formula_sum 'Ba4 Sr4 I16'
_cell_length_a 8.4100
_cell_length_b 14.7267
_cell_length_c 9.7002
_cell_angle_alpha 90.00
_cell_angle_beta 90.00
_cell_angle_gamma 90.00
_space_group_name_H-M_alt 'P b c n'
_space_group_IT_number 60
_space_group_name_Hall '-P 2n 2ab'
loop_
_atom_site_label
_atom_site_type_symbol
_atom_site_fract_x
_atom_site_fract_y
_atom_site_fract_z
_atom_site_occupancy
Ba1 Ba 0.0000 0.1753 0.2500 1
Sr1 Sr 0.0000 0.5000 0.0000 1
I1 I 0.1146 0.2841 0.5471 1
I2 I 0.2370 0.0229 0.7500 1
```

Most intense lines, 2θ from 10° to 80°, in order of falling intensity:
h k l	2theta	intensity
0 2 2	21.97	100
2 2 2	30.65	82
2 1 1	23.84	59
0 4 0	24.17	47
0 4 1	25.88	44
2 4 2	37.39	41
2 2 0	24.38	41
1 1 3	30.23	40
1 5 2	37.28	38
4 2 0	44.80	31
0 0 4	37.07	29
2 2 1	26.07	28

[6]
Starting from the PBE geometry in the Materials Project, the X-ray diffraction stick pattern of CeSmFe4 was simulated for Cu Ka.
Kinematic intensities with the Lorentz-polarization factor, no thermal factor.

Cell and atoms:
```
data_CeSmFe4
_chemical_formula_sum 'Ce4 Sm4 Fe16'
_cell_length_a 7.1829
_cell_length_b 7.1829
_cell_length_c 7.1829
_cell_angle_alpha 90.00
_cell_angle_beta 90.00
_cell_angle_gamma 90.00
_space_group_name_H-M_alt 'F -4 3 m'
_space_group_IT_number 216
_space_group_name_Hall 'F -4 2 3'
loop_
_atom_site_label
_atom_site_type_symbol
_atom_site_fract_x
_atom_site_fract_y
_atom_site_fract_z
_atom_site_occupancy
Ce1 Ce 0.0000 0.0000 0.0000 1
Sm1 Sm 0.2500 0.2500 0.2500 1
Fe1 Fe 0.1254 0.1254 0.6254 1
```

Most intense lines, 2θ from 10° to 80°, in order of falling intensity:
h k l	2theta	intensity
3 1 1	41.71	100
2 2 0	35.34	64
5 1 1	67.79	30
4 2 2	63.44	23
4 4 0	74.77	22
2 2 2	43.65	15
1 1 1	21.43	13
3 3 1	55.79	3
5 3 1	78.83	3
4 0 0	50.85	1

[7]
Starting from the PBE geometry in the Materials Project, the X-ray diffraction stick pattern of NaDyP2H2CO7 was simulated for Cu Ka.
Kinematic intensities with the Lorentz-polarization factor, no thermal factor.

Cell and atoms:
```
data_NaDyP2H2CO7
_chemical_formula_sum 'Na4 Dy4 P8 H8 C4 O28'
_cell_length_a 6.7186
_cell_length_b 15.1606
_cell_length_c 6.6154
_cell_angle_alpha 90.00
_cell_angle_beta 91.40
_cell_angle_gamma 90.00
_space_group_name_H-M_alt 'P 1 21/c 1'
_space_group_IT_number 14
_space_group_name_Hall '-P 2ybc'
loop_
_atom_site_label
_atom_site_type_symbol
_atom_site_fract_x
_atom_site_fract_y
_atom_site_fract_z
_atom_site_occupancy
Na1 Na 0.2039 0.0277 0.1393 1
Dy1 Dy 0.3253 0.6024 0.0968 1
P1 P 0.1816 0.0921 0.6313 1
P2 P 0.4675 0.6610 0.6024 1
H1 H 0.1777 0.2005 0.8939 1
H2 H 0.3027 0.2388 0.6786 1
C1 C 0.2868 0.1818 0.7795 1
O1 O 0.0071 0.6263 0.9787 1
O2 O 0.0897 0.6613 0.3300 1
O3 O 0.1404 0.0141 0.7774 1
O4 O 0.3337 0.0578 0.4768 1
O5 O 0.3476 0.6039 0.7469 1
O6 O 0.3757 0.7471 0.0662 1
O7 O 0.4975 0.1122 0.0984 1
```

Most intense lines, 2θ from 10° to 80°, in order of falling intensity:
h k l	2theta	intensity
0 1 1	14.61	100
1 0 2	30.42	67
1 2 -1	22.01	66
1 1 0	14.42	60
0 4 0	23.47	52
1 0 0	13.18	52
0 5 1	32.48	44
1 1 1	19.95	41
2 2 1	32.40	37
0 2 0	11.67	35
1 4 -1	30.12	33
2 1 0	27.18	31

[8]
Starting from the PBE geometry in the Materials Project, the X-ray diffraction stick pattern of KCd3H8Cl7O4 was simulated for Cu Ka.
Kinematic intensities with the Lorentz-polarization factor, no thermal factor.

Cell and atoms:
```
data_KCd3H8Cl7O4
_chemical_formula_sum 'K2 Cd6 H16 Cl14 O8'
_cell_length_a 6.7906
_cell_length_b 16.2549
_cell_length_c 7.2547
_cell_angle_alpha 90.00
_cell_angle_beta 92.05
_cell_angle_gamma 90.00
_space_group_name_H-M_alt 'P 1 21/m 1'
_space_group_IT_number 11
_space_group_name_Hall '-P 2yb'
loop_
_atom_site_label
_atom_site_type_symbol
_atom_site_fract_x
_atom_site_fract_y
_atom_site_fract_z
_atom_site_occupancy
K1 K 0.0283 0.2500 0.1770 1
Cd1 Cd 0.0000 0.0000 0.5000 1
Cd2 Cd 0.4923 0.0964 0.3379 1
H1 H 0.0901 0.7026 0.2579 1
H2 H 0.2717 0.0760 0.9891 1
H3 H 0.3815 0.1626 0.9738 1
H4 H 0.3873 0.7500 0.1622 1
H5 H 0.4060 0.2500 0.7327 1
Cl1 Cl 0.1766 0.1414 0.5274 1
Cl2 Cl 0.1886 0.5470 0.8176 1
Cl3 Cl 0.3265 0.5543 0.3349 1
Cl4 Cl 0.3846 0.7500 0.6467 1
O1 O 0.1292 0.7500 0.1843 1
O2 O 0.3104 0.1256 0.0593 1
O3 O 0.4677 0.2500 0.8568 1
```

Most intense lines, 2θ from 10° to 80°, in order of falling intensity:
h k l	2theta	intensity
0 0 1	12.21	100
0 2 0	10.89	59
1 2 2	30.45	49
0 1 1	13.37	46
1 4 0	25.55	42
0 2 1	16.38	39
2 2 -1	30.73	38
1 1 2	28.86	31
1 6 0	35.68	25
0 3 1	20.46	23
0 6 2	41.62	21
1 0 -3	39.12	21